The following is a simulated XRD peak list of LiSbP2O7. It was derived from a PBE-relaxed structure, using Cu Kα X-rays.
Kinematic intensities with the Lorentz-polarization factor, no thermal factor.

Crystal structure
```
data_LiSbP2O7
_cell_length_a 7.167
_cell_length_b 8.696
_cell_length_c 9.908
_cell_angle_alpha 90.00
_cell_angle_beta 109.09
_cell_angle_gamma 90.00
_space_group_name_H-M_alt 'P 1 21/c 1'
_space_group_IT_number 14
_space_group_name_Hall '-P 2ybc'
loop_
_atom_site_label
_atom_site_type_symbol
_atom_site_fract_x
_atom_site_fract_y
_atom_site_fract_z
Li1 Li 0.200 0.040 0.215
Sb1 Sb 0.246 0.009 0.750
P1 P 0.152 0.721 0.942
P2 P 0.401 0.242 0.033
O1 O 0.051 0.581 0.846
O2 O 0.052 0.628 0.383
O3 O 0.184 0.698 0.100
O4 O 0.320 0.115 0.588
O5 O 0.323 0.242 0.869
O6 O 0.362 0.721 0.914
O7 O 0.376 0.092 0.103
```

Principal peaks in the range 10 to 90 degrees two-theta, sorted by position:
d_spacing	2θ/deg	intensity
5.262	16.85	100
4.198	21.16	44
3.387	26.32	20
3.186	28.01	68
3.061	29.18	26
2.171	41.59	19

***

The following is a simulated XRD peak list of Mg9Si5. It was derived from a PBE-relaxed structure, using Cu Kα X-rays.
Kinematic intensities with the Lorentz-polarization factor, no thermal factor.

Crystal structure
```
data_Mg9Si5
_cell_length_a 7.176
_cell_length_b 7.271
_cell_length_c 12.809
_cell_angle_alpha 90.49
_cell_angle_beta 105.27
_cell_angle_gamma 119.03
_space_group_name_H-M_alt 'P 1'
_space_group_IT_number 1
_space_group_name_Hall 'P 1'
loop_
_atom_site_label
_atom_site_type_symbol
_atom_site_fract_x
_atom_site_fract_y
_atom_site_fract_z
Mg1 Mg 0.000 0.000 0.000
Mg2 Mg 0.003 0.414 0.035
Mg3 Mg 0.004 0.211 0.515
Mg4 Mg 0.196 0.046 0.358
Mg5 Mg 0.202 0.327 0.846
Mg6 Mg 0.243 0.716 0.515
Mg7 Mg 0.344 0.363 0.194
Mg8 Mg 0.364 0.127 0.676
Mg9 Mg 0.487 0.838 0.844
Mg10 Mg 0.504 0.827 0.350
Mg11 Mg 0.513 0.477 0.508
Mg12 Mg 0.520 0.210 0.993
Mg13 Mg 0.600 0.641 0.051
Mg14 Mg 0.720 0.330 0.344
Mg15 Mg 0.739 0.573 0.849
Mg16 Mg 0.756 0.916 0.674
Mg17 Mg 0.782 0.063 0.180
Mg18 Mg 0.956 0.519 0.676
Si1 Si 0.017 0.651 0.211
Si2 Si 0.125 0.904 0.821
Si3 Si 0.136 0.420 0.338
Si4 Si 0.278 0.791 0.999
Si5 Si 0.350 0.986 0.177
Si6 Si 0.362 0.519 0.680
Si7 Si 0.588 0.135 0.517
Si8 Si 0.772 0.710 0.291
Si9 Si 0.780 0.228 0.824
Si10 Si 0.920 0.805 0.509
```

Principal peaks in the range 10 to 90 degrees two-theta, sorted by position:
d_spacing	2θ/deg	intensity
2.711	33.04	100
2.385	37.71	31
2.118	42.70	37
2.091	43.27	30
2.074	43.64	35
2.032	44.58	44

***

The following is a simulated XRD peak list of Rb2CrCl4. It was derived from a PBE-relaxed structure, using Cu Kα X-rays.
Kinematic intensities with the Lorentz-polarization factor, no thermal factor.

Crystal structure
```
data_Rb2CrCl4
_cell_length_a 16.136
_cell_length_b 7.236
_cell_length_c 7.236
_cell_angle_alpha 90.00
_cell_angle_beta 90.00
_cell_angle_gamma 90.00
_space_group_name_H-M_alt 'C m c e'
_space_group_IT_number 64
_space_group_name_Hall '-C 2ac 2'
loop_
_atom_site_label
_atom_site_type_symbol
_atom_site_fract_x
_atom_site_fract_y
_atom_site_fract_z
Rb1 Rb 0.139 0.000 0.000
Cr1 Cr 0.000 0.000 0.500
Cl1 Cl 0.000 0.238 0.262
Cl2 Cl 0.152 0.000 0.500
```

Principal peaks in the range 10 to 90 degrees two-theta, sorted by position:
d_spacing	2θ/deg	intensity
3.707	24.00	57
3.618	24.60	78
2.692	33.28	100
2.558	35.08	79
1.854	49.15	30
1.501	61.79	36